[1]
Diffraction record for RbMg3O4. The X-ray powder pattern is simulated, not measured: it uses the PBE geometry in the Materials Project and Cu Kα.
Kinematic intensities with the Lorentz-polarization factor, no thermal factor.

Main lines, sorted by position (2θ = 5–70°):
d = 4.652 Å, I = 42.6
d = 3.290 Å, I = 37.0
d = 2.686 Å, I = 35.9
d = 2.326 Å, I = 100.0
d = 2.081 Å, I = 20.1
d = 1.899 Å, I = 15.1
d = 1.645 Å, I = 61.2
d = 1.551 Å, I = 9.8
d = 1.471 Å, I = 6.6
d = 1.403 Å, I = 18.6

Structural model:
Cell: 4.652 4.652 4.652 Å, 90.00 90.00 90.00°
Space group Pm-3m (No. 221)
Unique sites:
Rb: 0.000 0.000 0.000 [1 per cell]
Mg: 0.000 0.500 0.500 [3 per cell]
O: 0.000 0.000 0.500 [3 per cell]
O: 0.500 0.500 0.500 [1 per cell]

=====

[2]
Diffraction record for Ti3Nb. The X-ray powder pattern is simulated, not measured: it uses the PBE geometry in the Materials Project and Cu Kα.
Kinematic intensities with the Lorentz-polarization factor, no thermal factor.

Main lines, sorted by position (2θ = 5–70°):
d = 9.069 Å, I = 27.2
d = 2.688 Å, I = 10.9
d = 2.405 Å, I = 21.1
d = 2.312 Å, I = 100.0
d = 2.267 Å, I = 25.8
d = 2.124 Å, I = 14.9
d = 1.650 Å, I = 12.3
d = 1.621 Å, I = 8.4
d = 1.437 Å, I = 7.0
d = 1.370 Å, I = 7.4

Structural model:
Cell: 9.069 3.241 4.809 Å, 90.00 90.00 90.00°
Space group Amm2 (No. 38)
Unique sites:
Ti: 0.000 0.000 0.000 [2 per cell]
Ti: 0.248 0.000 0.608 [4 per cell]
Nb: 0.500 0.000 0.017 [2 per cell]

=====

[3]
Diffraction record for Ba8P5Br. The X-ray powder pattern is simulated, not measured: it uses the PBE geometry in the Materials Project and Cu Kα.
Kinematic intensities with the Lorentz-polarization factor, no thermal factor.

Main lines, sorted by position (2θ = 5–70°):
d = 4.053 Å, I = 46.4
d = 3.509 Å, I = 46.2
d = 3.143 Å, I = 100.0
d = 3.131 Å, I = 52.6
d = 2.654 Å, I = 96.5
d = 2.028 Å, I = 18.7
d = 1.949 Å, I = 46.6
d = 1.943 Å, I = 23.2
d = 1.612 Å, I = 25.3
d = 1.531 Å, I = 16.7

Structural model:
Cell: 9.943 9.943 9.895 Å, 90.00 90.00 90.00°
Space group I-4 (No. 82)
Unique sites:
Ba: 0.062 0.194 0.179 [8 per cell]
Ba: 0.074 0.328 0.564 [8 per cell]
P: 0.000 0.500 0.250 [2 per cell]
P: 0.129 0.255 0.873 [8 per cell]
Br: 0.000 0.000 0.500 [2 per cell]

=====

[4]
Diffraction record for Nb4Fe4Si7. The X-ray powder pattern is simulated, not measured: it uses the PBE geometry in the Materials Project and Cu Kα.
Kinematic intensities with the Lorentz-polarization factor, no thermal factor.

Main lines, sorted by position (2θ = 5–70°):
d = 3.216 Å, I = 10.7
d = 3.148 Å, I = 10.9
d = 2.864 Å, I = 18.9
d = 2.607 Å, I = 15.7
d = 2.249 Å, I = 100.0
d = 2.226 Å, I = 22.1
d = 2.118 Å, I = 57.6
d = 2.099 Å, I = 28.0
d = 1.391 Å, I = 21.4
d = 1.379 Å, I = 21.4

Structural model:
Cell: 12.591 12.591 5.004 Å, 90.00 90.00 90.00°
Space group I4/mmm (No. 139)
Unique sites:
Nb: 0.000 0.192 0.000 [8 per cell]
Nb: 0.135 0.135 0.500 [8 per cell]
Fe: 0.149 0.351 0.250 [16 per cell]
Si: 0.000 0.000 0.251 [4 per cell]
Si: 0.000 0.297 0.500 [8 per cell]
Si: 0.000 0.406 0.000 [8 per cell]
Si: 0.209 0.209 0.000 [8 per cell]